Starting from a structure optimized by DFT (PBE), the powder diffraction line list of PmYErCd was simulated for Cu Kα, 1.54184 Å.
Peak positions follow from Bragg's law for the DFT cell and can differ from measured ones.

Main lines, low angle first (2θ from 10° to 80°):
3.356 Å, rel. 6
2.822 Å, rel. 100
2.556 Å, rel. 40
2.259 Å, rel. 11
1.807 Å, rel. 15
1.693 Å, rel. 18
1.522 Å, rel. 30
1.411 Å, rel. 10
1.390 Å, rel. 7
1.278 Å, rel. 6

Crystal structure
Cell: 3.614 3.614 9.038 Å, 90.00 90.00 90.00°
Atoms (fractional coordinates):
Pm 0.000 0.000 0.000
Y 0.500 0.500 0.718
Er 0.500 0.500 0.275
Cd 0.000 0.000 0.493



Starting from a structure optimized by DFT (PBE), the powder diffraction line list of TeBrF was simulated for Cu Kα, 1.54184 Å.
Peak positions follow from Bragg's law for the DFT cell and can differ from measured ones.

Main lines, low angle first (2θ from 10° to 80°):
4.467 Å, rel. 100
3.430 Å, rel. 77
2.827 Å, rel. 46
2.720 Å, rel. 56
2.389 Å, rel. 39
2.234 Å, rel. 22
2.181 Å, rel. 43
1.960 Å, rel. 43
1.872 Å, rel. 26
1.561 Å, rel. 28

Crystal structure
Cell: 3.430 5.653 4.467 Å, 90.00 90.00 90.00°
Atoms (fractional coordinates):
Te 0.000 0.000 0.000
Br 0.000 0.500 0.985
F 0.000 0.000 0.538



Starting from a structure optimized by DFT (PBE), the powder diffraction line list of RbTlFe2I6 was simulated for Cu Kα, 1.54184 Å.
Peak positions follow from Bragg's law for the DFT cell and can differ from measured ones.

Main lines, low angle first (2θ from 10° to 80°):
4.794 Å, rel. 97
4.057 Å, rel. 38
3.973 Å, rel. 49
3.853 Å, rel. 43
3.516 Å, rel. 55
3.439 Å, rel. 100
3.399 Å, rel. 46
3.200 Å, rel. 64
2.560 Å, rel. 49
2.306 Å, rel. 57

Crystal structure
Cell: 10.708 10.708 8.243 Å, 101.12 101.12 85.07°
Atoms (fractional coordinates):
Rb 0.178 0.822 0.750
Rb 0.822 0.178 0.250
Tl 0.397 0.603 0.250
Tl 0.603 0.397 0.750
Fe 0.125 0.294 0.752
Fe 0.294 0.125 0.252
Fe 0.706 0.875 0.748
Fe 0.875 0.706 0.248
I 0.097 0.603 0.347
I 0.105 0.181 0.009
I 0.181 0.105 0.509
I 0.290 0.470 0.829
I 0.397 0.903 0.153
I 0.470 0.290 0.329
I 0.530 0.710 0.671
I 0.603 0.097 0.847
I 0.710 0.530 0.171
I 0.819 0.895 0.491
I 0.895 0.819 0.991
I 0.903 0.397 0.653



Starting from a structure optimized by DFT (PBE), the powder diffraction line list of Ce2Pd5Au12 was simulated for Cu Kα, 1.54184 Å.
Peak positions follow from Bragg's law for the DFT cell and can differ from measured ones.

Main lines, low angle first (2θ from 10° to 80°):
4.786 Å, rel. 32
2.763 Å, rel. 29
2.674 Å, rel. 21
2.393 Å, rel. 37
2.378 Å, rel. 100
2.334 Å, rel. 34
2.129 Å, rel. 83
2.098 Å, rel. 25
1.381 Å, rel. 26
1.356 Å, rel. 19

Crystal structure
Cell: 7.234 7.234 7.234 Å, 82.84 82.84 82.84°
Atoms (fractional coordinates):
Ce 0.194 0.194 0.194
Ce 0.806 0.806 0.806
Pd 0.000 0.500 0.500
Pd 0.396 0.396 0.396
Pd 0.500 0.000 0.500
Pd 0.500 0.500 0.000
Pd 0.604 0.604 0.604
Au 0.151 0.151 0.655
Au 0.151 0.655 0.151
Au 0.197 0.500 0.803
Au 0.197 0.803 0.500
Au 0.345 0.849 0.849
Au 0.500 0.197 0.803
Au 0.500 0.803 0.197
Au 0.655 0.151 0.151
Au 0.803 0.197 0.500
Au 0.803 0.500 0.197
Au 0.849 0.345 0.849
Au 0.849 0.849 0.345



Starting from a structure optimized by DFT (PBE), the powder diffraction line list of Cs5Cr2H12 was simulated for Cu Kα, 1.54184 Å.
Peak positions follow from Bragg's law for the DFT cell and can differ from measured ones.

Main lines, low angle first (2θ from 10° to 80°):
4.459 Å, rel. 74
3.676 Å, rel. 25
3.638 Å, rel. 21
3.542 Å, rel. 17
3.503 Å, rel. 100
3.032 Å, rel. 33
2.989 Å, rel. 35
2.837 Å, rel. 17
2.819 Å, rel. 14
2.343 Å, rel. 20

Crystal structure
Cell: 7.525 7.525 7.721 Å, 105.64 105.64 72.67°
Atoms (fractional coordinates):
Cs 0.000 0.000 0.000
Cs 0.318 0.318 0.898
Cs 0.331 0.331 0.421
Cs 0.669 0.669 0.579
Cs 0.682 0.682 0.102
Cr 0.114 0.886 0.500
Cr 0.886 0.114 0.500
H 0.084 0.734 0.295
H 0.090 0.741 0.619
H 0.120 0.120 0.553
H 0.259 0.910 0.381
H 0.266 0.916 0.705
H 0.499 0.499 0.766
H 0.501 0.501 0.234
H 0.734 0.084 0.295
H 0.741 0.090 0.619
H 0.880 0.880 0.447
H 0.910 0.259 0.381
H 0.916 0.266 0.705



Starting from a structure optimized by DFT (PBE), the powder diffraction line list of GaBiI was simulated for Cu Kα, 1.54184 Å.
Peak positions follow from Bragg's law for the DFT cell and can differ from measured ones.

Main lines, low angle first (2θ from 10° to 80°):
7.101 Å, rel. 61
4.734 Å, rel. 43
3.644 Å, rel. 100
3.333 Å, rel. 93
3.323 Å, rel. 40
2.956 Å, rel. 57
2.945 Å, rel. 96
2.272 Å, rel. 42
2.264 Å, rel. 31
2.177 Å, rel. 93

Crystal structure
Cell: 7.541 4.353 14.202 Å, 90.00 90.30 90.00°
Atoms (fractional coordinates):
Ga 0.000 0.000 0.000
Ga 0.168 0.500 0.111
Ga 0.500 0.500 0.000
Ga 0.668 0.000 0.111
Bi 0.001 0.000 0.617
Bi 0.167 0.500 0.496
Bi 0.501 0.500 0.617
Bi 0.667 0.000 0.496
I 0.332 0.000 0.883
I 0.336 0.000 0.228
I 0.832 0.500 0.883
I 0.836 0.500 0.228